1.
For Ho3NpRu3, a PBE-relaxed structure gives the calculated powder XRD pattern in this record (Cu Kα (λ = 1.5418 Å)).

The 10 most intense peaks (5° ≤ 2θ ≤ 70°), by angle:
hkl  2θ/deg  intensity
0 0 1  6.7  35
4 0 -3  30.8  44
3 1 -2  32.1  100
3 1 0  33.4  28
1 1 3  33.6  75
1 1 -4  33.7  74
4 0 1  36.1  91
3 1 -5  40.2  54
0 2 0  45.9  51
7 1 -4  59.1  25

Structure:
```
data_Ho3NpRu3
_chemical_formula_sum 'Ho12 Np4 Ru12'
_cell_length_a 11.946
_cell_length_b 3.953
_cell_length_c 14.426
_cell_angle_alpha 90.00
_cell_angle_beta 113.68
_cell_angle_gamma 90.00
_space_group_name_H-M_alt 'C 1 2/m 1'
_space_group_IT_number 12
loop_
_space_group_symop_operation_xyz
'x,y,z'
'-x,-y,-z'
'-x,y,-z'
'x,-y,z'
'x+1/2,y+1/2,z'
'-x+1/2,-y+1/2,-z'
'-x+1/2,y+1/2,-z'
'x+1/2,-y+1/2,z'
loop_
_atom_site_label
_atom_site_fract_x
_atom_site_fract_y
_atom_site_fract_z
_atom_site_occupancy
Ho1 0.034 0.000 0.298 1
Ho2 0.128 0.500 0.137 1
Ho3 0.179 0.000 0.571 1
Np1 0.167 0.500 0.895 1
Ru1 0.041 0.500 0.432 1
Ru2 0.084 0.000 0.959 1
Ru3 0.181 0.500 0.741 1
```

***

2.
For Al2NiBr8, a PBE-relaxed structure gives the calculated powder XRD pattern in this record (Cu Kα (λ = 1.5418 Å)).

The 10 most intense peaks (5° ≤ 2θ ≤ 70°), by angle:
hkl  2θ/deg  intensity
1 1 0  11.6  40
2 0 0  11.9  36
1 1 -2  18.4  13
2 2 0  23.3  16
4 0 0  24.0  16
0 2 2  27.3  32
4 2 -2  27.7  100
4 0 -4  29.0  24
6 2 0  41.7  24
1 1 4  42.9  14

Structure:
```
data_Al2NiBr8
_chemical_formula_sum 'Al8 Ni4 Br32'
_cell_length_a 19.050
_cell_length_b 8.905
_cell_length_c 12.338
_cell_angle_alpha 90.00
_cell_angle_beta 128.73
_cell_angle_gamma 90.00
_space_group_name_H-M_alt 'C 1 2/c 1'
_space_group_IT_number 15
loop_
_space_group_symop_operation_xyz
'x,y,z'
'-x,-y,-z'
'-x,y,-z+1/2'
'x,-y,z+1/2'
'x+1/2,y+1/2,z'
'-x+1/2,-y+1/2,-z'
'-x+1/2,y+1/2,-z+1/2'
'x+1/2,-y+1/2,z+1/2'
loop_
_atom_site_label
_atom_site_fract_x
_atom_site_fract_y
_atom_site_fract_z
_atom_site_occupancy
Al1 0.078 0.233 0.028 1
Ni1 0.000 0.015 0.750 1
Br1 0.067 0.216 0.687 1
Br2 0.078 0.207 0.217 1
Br3 0.141 0.020 0.002 1
Br4 0.152 0.450 0.060 1
```

***

3.
For KGaGe3O8, a PBE-relaxed structure gives the calculated powder XRD pattern in this record (Cu Kα (λ = 1.5418 Å)).

The 10 most intense peaks (5° ≤ 2θ ≤ 70°), by angle:
hkl  2θ/deg  intensity
0 1 -1  12.9  27
-1 1 1  20.0  65
0 1 -2  21.8  30
0 2 -1  22.7  27
0 0 2  25.0  32
-2 1 1  25.7  54
2 0 0  25.9  100
0 2 0  26.0  32
1 2 -1  28.5  32
-4 1 1  47.6  25

Structure:
```
data_KGaGe3O8
_chemical_formula_sum 'K2 Ga2 Ge6 O16'
_cell_length_a 7.638
_cell_length_b 8.068
_cell_length_c 8.393
_cell_angle_alpha 113.75
_cell_angle_beta 103.85
_cell_angle_gamma 103.48
_space_group_name_H-M_alt 'P -1'
_space_group_IT_number 2
loop_
_space_group_symop_operation_xyz
'x,y,z'
'-x,-y,-z'
loop_
_atom_site_label
_atom_site_fract_x
_atom_site_fract_y
_atom_site_fract_z
_atom_site_occupancy
K1 0.134 0.280 0.264 1
Ga1 0.220 0.815 0.194 1
Ge1 0.225 0.183 0.828 1
Ge2 0.343 0.587 0.826 1
Ge3 0.349 0.814 0.585 1
O1 0.008 0.141 0.864 1
O2 0.202 0.662 0.952 1
O3 0.208 0.946 0.680 1
O4 0.253 0.697 0.340 1
O5 0.284 0.329 0.723 1
O6 0.284 0.604 0.618 1
O7 0.400 0.066 0.308 1
O8 0.401 0.290 0.059 1
```

***

4.
For Li4Ag4Pd3, a PBE-relaxed structure gives the calculated powder XRD pattern in this record (Cu Kα (λ = 1.5418 Å)).

The 10 most intense peaks (5° ≤ 2θ ≤ 70°), by angle:
hkl  2θ/deg  intensity
0 1 1  22.4  64
0 0 4  25.5  18
0 1 2  25.8  10
1 0 3  39.0  22
1 0 -4  39.5  31
1 -1 2  40.1  58
-1 1 2  40.3  18
1 1 -3  40.4  18
0 2 -1  41.1  100
1 2 2  57.9  13

Structure:
```
data_Li4Ag4Pd3
_chemical_formula_sum 'Li4 Ag4 Pd3'
_cell_length_a 2.809
_cell_length_b 4.392
_cell_length_c 14.192
_cell_angle_alpha 98.77
_cell_angle_beta 94.90
_cell_angle_gamma 90.15
_space_group_name_H-M_alt 'P -1'
_space_group_IT_number 2
loop_
_space_group_symop_operation_xyz
'x,y,z'
'-x,-y,-z'
loop_
_atom_site_label
_atom_site_fract_x
_atom_site_fract_y
_atom_site_fract_z
_atom_site_occupancy
Li1 0.129 0.455 0.410 1
Li2 0.249 0.820 0.140 1
Ag1 0.133 0.091 0.682 1
Ag2 0.238 0.722 0.946 1
Pd1 0.362 0.366 0.234 1
Pd2 0.500 0.000 0.500 1
```

***

5.
For Ti3Al2Mo, a PBE-relaxed structure gives the calculated powder XRD pattern in this record (Cu Kα (λ = 1.5418 Å)).

The 10 most intense peaks (5° ≤ 2θ ≤ 70°), by angle:
hkl  2θ/deg  intensity
0 2 0  13.0  6
0 0 1  14.2  24
1 1 0  20.6  6
1 1 1  25.1  5
1 3 1  31.3  10
2 0 0  39.7  52
1 3 2  40.3  100
2 0 1  42.4  6
2 6 0  57.4  16
0 0 4  59.1  7

Structure:
```
data_Ti3Al2Mo
_chemical_formula_sum 'Ti12 Al8 Mo4'
_cell_length_a 4.538
_cell_length_b 13.611
_cell_length_c 6.250
_cell_angle_alpha 90.00
_cell_angle_beta 90.00
_cell_angle_gamma 90.00
_space_group_name_H-M_alt 'C m m m'
_space_group_IT_number 65
_space_group_name_Hall '-C 2 2'
loop_
_atom_site_label
_atom_site_fract_x
_atom_site_fract_y
_atom_site_fract_z
_atom_site_occupancy
Ti1 0.000 0.000 0.249 1
Ti2 0.000 0.328 0.238 1
Al1 0.000 0.164 0.500 1
Al2 0.000 0.500 0.000 1
Al3 0.000 0.500 0.500 1
Mo1 0.000 0.162 0.000 1
```

***

6.
For PmZnGe2Pt5, a PBE-relaxed structure gives the calculated powder XRD pattern in this record (Cu Kα (λ = 1.5418 Å)).

The 10 most intense peaks (5° ≤ 2θ ≤ 70°), by angle:
hkl  2θ/deg  intensity
0 0 1  9.7  22
0 0 2  19.6  10
1 1 2  35.9  100
0 0 4  39.7  13
1 1 3  42.4  18
2 0 0  42.6  41
2 0 4  59.6  16
2 2 0  61.8  14
2 0 5  67.9  6
1 1 6  69.6  13

Structure:
```
data_PmZnGe2Pt5
_chemical_formula_sum 'Pm1 Zn1 Ge2 Pt5'
_cell_length_a 4.247
_cell_length_b 4.247
_cell_length_c 9.074
_cell_angle_alpha 90.00
_cell_angle_beta 90.00
_cell_angle_gamma 90.00
_space_group_name_H-M_alt 'P 4/m m m'
_space_group_IT_number 123
_space_group_name_Hall '-P 4 2'
loop_
_atom_site_label
_atom_site_fract_x
_atom_site_fract_y
_atom_site_fract_z
_atom_site_occupancy
Pm1 0.000 0.000 0.000 1
Zn1 0.000 0.000 0.500 1
Ge1 0.500 0.500 0.370 1
Pt1 0.000 0.500 0.234 1
Pt2 0.500 0.500 0.000 1
```

***

7.
For MgRuAu2N, a PBE-relaxed structure gives the calculated powder XRD pattern in this record (Cu Kα (λ = 1.5418 Å)).

The 10 most intense peaks (5° ≤ 2θ ≤ 70°), by angle:
hkl  2θ/deg  intensity
1 0 0  19.2  8
0 0 1  23.2  23
1 1 0  27.3  25
1 1 1  36.2  100
2 0 0  39.0  45
2 0 1  45.9  16
0 0 2  47.5  13
2 2 0  56.4  15
2 0 2  63.1  22
3 1 1  68.8  31

Structure:
```
data_MgRuAu2N
_chemical_formula_sum 'Mg1 Ru1 Au2 N1'
_cell_length_a 4.616
_cell_length_b 4.616
_cell_length_c 3.831
_cell_angle_alpha 90.00
_cell_angle_beta 90.00
_cell_angle_gamma 90.00
_space_group_name_H-M_alt 'P 4/m m m'
_space_group_IT_number 123
_space_group_name_Hall '-P 4 2'
loop_
_atom_site_label
_atom_site_fract_x
_atom_site_fract_y
_atom_site_fract_z
_atom_site_occupancy
Mg1 0.000 0.000 0.000 1
Ru1 0.500 0.500 0.000 1
Au1 0.000 0.500 0.500 1
N1 0.500 0.500 0.500 1
```

***

8.
For YZr3Ge, a PBE-relaxed structure gives the calculated powder XRD pattern in this record (Cu Kα (λ = 1.5418 Å)).

The 10 most intense peaks (5° ≤ 2θ ≤ 70°), by angle:
hkl  2θ/deg  intensity
1 0 0  17.3  18
1 1 0  24.5  14
1 1 1  30.1  88
2 0 0  34.9  100
2 1 0  39.2  9
2 1 1  43.1  6
2 2 0  50.2  69
3 0 0  53.5  4
3 1 1  59.7  35
2 2 2  62.6  23

Structure:
```
data_YZr3Ge
_chemical_formula_sum 'Y1 Zr3 Ge1'
_cell_length_a 5.138
_cell_length_b 5.138
_cell_length_c 5.138
_cell_angle_alpha 90.00
_cell_angle_beta 90.00
_cell_angle_gamma 90.00
_space_group_name_H-M_alt 'P m -3 m'
_space_group_IT_number 221
_space_group_name_Hall '-P 4 2 3'
loop_
_atom_site_label
_atom_site_fract_x
_atom_site_fract_y
_atom_site_fract_z
_atom_site_occupancy
Y1 0.000 0.000 0.000 1
Zr1 0.000 0.500 0.500 1
Ge1 0.500 0.500 0.500 1
```